No. 1
This entry pairs a crystal structure of Li2TiFe3O8 with its computed powder diffraction line list. Radiation: Cu Ka. Structure: a crystal structure in the Materials Project, relaxed with GGA+U.
Lines closer than 0.1° are merged.

Cell and atoms:
abc: 8.4124 8.4305 8.4470
angles: 90.01 90.04 90.06
Space group P1 (No. 1)
Asymmetric unit:
1 Li 0.0000 0.0000 0.0000 x1
2 Li 0.0045 0.5013 0.5045 x1
3 Li 0.2494 0.7474 0.7502 x1
4 Li 0.2564 0.2492 0.2511 x1
5 Li 0.4990 0.4966 0.0041 x1
6 Li 0.5058 0.9989 0.5005 x1
7 Li 0.7485 0.7504 0.2520 x1
8 Li 0.7581 0.2470 0.7519 x1
9 Ti 0.1302 0.8769 0.3759 x1
10 Ti 0.3774 0.1220 0.8741 x1
11 Ti 0.6253 0.6207 0.6325 x1
12 Ti 0.8805 0.3767 0.1322 x1
13 Fe 0.1231 0.1229 0.6295 x1
14 Fe 0.1265 0.3718 0.8784 x1
15 Fe 0.1336 0.6219 0.1255 x1
16 Fe 0.3710 0.3765 0.6255 x1
17 Fe 0.3779 0.6253 0.3786 x1
18 Fe 0.3813 0.8747 0.1290 x1
19 Fe 0.6224 0.3727 0.3748 x1
20 Fe 0.6281 0.1266 0.1240 x1
21 Fe 0.6311 0.8785 0.8740 x1
22 Fe 0.8727 0.1194 0.3755 x1
23 Fe 0.8769 0.8715 0.6240 x1
24 Fe 0.8828 0.6249 0.8746 x1
25 O 0.1085 0.8813 0.6143 x1
26 O 0.1133 0.3776 0.1098 x1
27 O 0.1199 0.1052 0.3855 x1
28 O 0.1209 0.6027 0.8881 x1
29 O 0.1328 0.3624 0.6487 x1
30 O 0.1358 0.8634 0.1451 x1
31 O 0.1421 0.1403 0.8718 x1
32 O 0.1511 0.6333 0.3699 x1
33 O 0.3537 0.3643 0.8699 x1
34 O 0.3635 0.8573 0.3726 x1
35 O 0.3694 0.1341 0.6446 x1
36 O 0.3725 0.6359 0.1485 x1
37 O 0.3837 0.3945 0.3877 x1
38 O 0.3847 0.8928 0.8853 x1
39 O 0.3927 0.6199 0.6109 x1
40 O 0.3978 0.1164 0.1143 x1
41 O 0.6044 0.6164 0.3874 x1
42 O 0.6127 0.1216 0.8926 x1
43 O 0.6206 0.3916 0.6160 x1
44 O 0.6217 0.8989 0.1152 x1
45 O 0.6343 0.1346 0.3542 x1
46 O 0.6359 0.6343 0.8598 x1
47 O 0.6427 0.3550 0.1303 x1
48 O 0.6457 0.8609 0.6330 x1
49 O 0.8589 0.1368 0.1335 x1
50 O 0.8625 0.6425 0.6302 x1
51 O 0.8698 0.3635 0.3593 x1
52 O 0.8708 0.8643 0.8526 x1
53 O 0.8837 0.0996 0.6159 x1
54 O 0.8858 0.6064 0.1165 x1
55 O 0.8925 0.8757 0.3947 x1
56 O 0.8995 0.3813 0.8883 x1

Main lines, in order of rising 2θ (2θ from 15° to 90°):
(hkl), two_theta, d [Å], I (rel.)
1 -1 1, 18.23, 4.867, 100
1 -3 1, 35.28, 2.544, 32
0 4 0, 42.87, 2.110, 38
4 0 0, 43.01, 2.103, 19
0 4 4, 62.25, 1.491, 17
4 0 4, 62.36, 1.489, 17

---

No. 2
This entry pairs a crystal structure of Li3Ti2FeO6 with its computed powder diffraction line list. Radiation: Cu Ka. Structure: a crystal structure in the Materials Project, relaxed with GGA+U.
Lines closer than 0.1° are merged.

Cell and atoms:
abc: 13.0996 2.9628 6.0803
angles: 90.00 103.84 90.00
Space group C2/m (No. 12)
Asymmetric unit:
1 Li 0.0000 0.0000 0.0000 x2
2 Li 0.1655 0.5000 0.3338 x4
3 Ti 0.1620 0.5000 0.8270 x4
4 Fe 0.0000 0.0000 0.5000 x2
5 O 0.0101 0.5000 0.7575 x4
6 O 0.1708 0.0000 0.6047 x4
7 O 0.1741 0.0000 0.0680 x4

Main lines, in order of rising 2θ (2θ from 15° to 90°):
(hkl), two_theta, d [Å], I (rel.)
2 0 -1, 17.89, 4.959, 100
4 0 1, 35.11, 2.556, 13
1 1 1, 35.36, 2.539, 27
1 1 -2, 42.62, 2.121, 87
7 1 -2, 61.69, 1.504, 16
5 1 2, 62.05, 1.496, 15

---

No. 3
This entry pairs a crystal structure of Li3TiFe3O8 with its computed powder diffraction line list. Radiation: Cu Ka. Structure: a crystal structure in the Materials Project, relaxed with GGA+U.
Lines closer than 0.1° are merged.

Cell and atoms:
abc: 5.9761 5.9761 14.7894
angles: 90.00 90.00 120.00
Space group R-3m (No. 166, hexagonal axes)
Asymmetric unit:
1 Li 0.0000 0.5000 0.0000 x9
2 Ti 0.0000 0.0000 0.5000 x3
3 Fe 0.0000 0.5000 0.5000 x9
4 O 0.0000 0.0000 0.2413 x6
5 O 0.0132 0.5066 0.2393 x18

Main lines, in order of rising 2θ (2θ from 15° to 90°):
(hkl), two_theta, d [Å], I (rel.)
0 0 3, 17.99, 4.930, 100
0 2 1, 35.21, 2.549, 38
0 2 4, 42.65, 2.120, 70
0 2 7, 56.21, 1.637, 15
2 0 8, 61.66, 1.504, 18
2 2 0, 62.13, 1.494, 19

---

No. 4
This entry pairs a crystal structure of Li2TiFe2O6 with its computed powder diffraction line list. Radiation: Cu Ka. Structure: a crystal structure in the Materials Project, relaxed with GGA+U.
Lines closer than 0.1° are merged.

Cell and atoms:
abc: 13.1436 8.9453 6.0447
angles: 90.00 103.72 90.00
Space group C2/m (No. 12)
Asymmetric unit:
1 Li 0.0000 0.1706 0.0000 x4
2 Li 0.1679 0.3320 0.3296 x8
3 Ti 0.0000 0.1670 0.5000 x4
4 Ti 0.0000 0.5000 0.5000 x2
5 Fe 0.1665 0.0000 0.8370 x4
6 Fe 0.1716 0.3364 0.8365 x8
7 O 0.9996 0.3298 0.2818 x8
8 O 0.0078 0.0000 0.7272 x4
9 O 0.1521 0.5000 0.5933 x4
10 O 0.1559 0.1733 0.5987 x8
11 O 0.1687 0.1733 0.0629 x8
12 O 0.1782 0.5000 0.0735 x4

Main lines, in order of rising 2θ (2θ from 15° to 90°):
(hkl), two_theta, d [Å], I (rel.)
2 0 -1, 17.93, 4.946, 100
4 0 1, 35.04, 2.561, 13
1 3 1, 35.21, 2.549, 24
6 0 0, 42.48, 2.128, 22
1 3 -2, 42.59, 2.123, 45
3 3 -3, 56.05, 1.641, 15

---

No. 5
This entry pairs a crystal structure of Li2TiFe3O8 with its computed powder diffraction line list. Radiation: Cu Ka. Structure: a crystal structure in the Materials Project, relaxed with GGA+U.
Lines closer than 0.1° are merged.

Cell and atoms:
abc: 5.9634 5.9943 10.3556
angles: 73.86 73.71 60.24
Space group P1 (No. 1)
Asymmetric unit:
1 Li 0.0000 0.0000 0.0000 x1
2 Li 0.1140 0.1385 0.6320 x1
3 Li 0.4944 0.5123 0.5003 x1
4 Li 0.6211 0.6231 0.1325 x1
5 Ti 0.0560 0.5653 0.8180 x1
6 Ti 0.5587 0.0658 0.3168 x1
7 Fe 0.0582 0.0678 0.3161 x1
8 Fe 0.0586 0.5673 0.3167 x1
9 Fe 0.3144 0.3120 0.0680 x1
10 Fe 0.5550 0.5697 0.8163 x1
11 Fe 0.5585 0.0694 0.8152 x1
12 Fe 0.8026 0.8251 0.5655 x1
13 O 0.1478 0.7287 0.4326 x1
14 O 0.1901 0.1922 0.4233 x1
15 O 0.1975 0.6583 0.9361 x1
16 O 0.2098 0.2051 0.9268 x1
17 O 0.4096 0.4559 0.7069 x1
18 O 0.4223 0.4156 0.2005 x1
19 O 0.4285 0.9655 0.1993 x1
20 O 0.4605 0.9380 0.7031 x1
21 O 0.6540 0.2016 0.9288 x1
22 O 0.6868 0.1700 0.4339 x1
23 O 0.6957 0.7187 0.4318 x1
24 O 0.7035 0.6828 0.9256 x1
25 O 0.9047 0.9328 0.7063 x1
26 O 0.9167 0.4794 0.6965 x1
27 O 0.9264 0.9424 0.2096 x1
28 O 0.9683 0.4063 0.2001 x1

Main lines, in order of rising 2θ (2θ from 15° to 90°):
(hkl), two_theta, d [Å], I (rel.)
1 0 1, 18.14, 4.891, 100
1 2 -1, 34.96, 2.567, 16
1 0 -3, 35.09, 2.557, 12
0 2 -2, 42.40, 2.132, 19
2 0 -2, 42.67, 2.119, 19
2 2 4, 42.98, 2.104, 19

---

No. 6
This entry pairs a crystal structure of Li2TiFe3O8 with its computed powder diffraction line list. Radiation: Cu Ka. Structure: a crystal structure in the Materials Project, relaxed with GGA+U.
Lines closer than 0.1° are merged.

Cell and atoms:
abc: 8.3979 8.4073 8.6124
angles: 90.06 90.01 90.15
Space group P1 (No. 1)
Asymmetric unit:
1 Li 0.0000 0.0000 0.0000 x1
2 Li 0.0012 0.4967 0.4992 x1
3 Li 0.2475 0.2490 0.7477 x1
4 Li 0.2517 0.7506 0.2486 x1
5 Li 0.4977 0.9969 0.5006 x1
6 Li 0.5024 0.4988 0.9999 x1
7 Li 0.7460 0.7508 0.7494 x1
8 Li 0.7492 0.2518 0.2488 x1
9 Ti 0.1240 0.6307 0.8681 x1
10 Ti 0.3744 0.1255 0.1228 x1
11 Ti 0.6274 0.3707 0.6201 x1
12 Ti 0.8774 0.8773 0.3826 x1
13 Fe 0.1230 0.3755 0.1272 x1
14 Fe 0.1266 0.1243 0.3728 x1
15 Fe 0.1281 0.8757 0.6229 x1
16 Fe 0.3738 0.3729 0.3723 x1
17 Fe 0.3762 0.8749 0.8754 x1
18 Fe 0.3784 0.6227 0.6270 x1
19 Fe 0.6241 0.1238 0.8759 x1
20 Fe 0.6245 0.8753 0.1227 x1
21 Fe 0.6273 0.6258 0.3776 x1
22 Fe 0.8733 0.6250 0.1255 x1
23 Fe 0.8743 0.3783 0.8721 x1
24 Fe 0.8778 0.1264 0.6259 x1
25 O 0.1017 0.6181 0.1105 x1
26 O 0.1055 0.3884 0.8862 x1
27 O 0.1079 0.8788 0.3845 x1
28 O 0.1148 0.1117 0.6098 x1
29 O 0.1302 0.8586 0.8636 x1
30 O 0.1365 0.3647 0.3618 x1
31 O 0.1357 0.6321 0.6415 x1
32 O 0.1386 0.1346 0.1346 x1
33 O 0.3554 0.6310 0.8696 x1
34 O 0.3647 0.8589 0.6382 x1
35 O 0.3656 0.3612 0.1340 x1
36 O 0.3679 0.1334 0.3558 x1
37 O 0.3833 0.8899 0.1136 x1
38 O 0.3842 0.1169 0.8909 x1
39 O 0.3907 0.3849 0.6137 x1
40 O 0.3973 0.6140 0.3839 x1
41 O 0.6107 0.1168 0.1144 x1
42 O 0.6150 0.6087 0.6176 x1
43 O 0.6160 0.8867 0.8878 x1
44 O 0.6192 0.3894 0.3907 x1
45 O 0.6348 0.1404 0.6340 x1
46 O 0.6378 0.8584 0.3636 x1
47 O 0.6420 0.3679 0.8570 x1
48 O 0.6472 0.6333 0.1351 x1
49 O 0.8566 0.6373 0.3700 x1
50 O 0.8607 0.3650 0.6312 x1
51 O 0.8650 0.1460 0.8646 x1
52 O 0.8676 0.8529 0.1402 x1
53 O 0.8809 0.3992 0.1146 x1
54 O 0.8817 0.1056 0.3808 x1
55 O 0.8833 0.8840 0.6081 x1
56 O 0.8869 0.6097 0.8801 x1

Main lines, in order of rising 2θ (2θ from 15° to 90°):
(hkl), two_theta, d [Å], I (rel.)
1 -1 1, 18.14, 4.891, 100
-1 1 3, 34.70, 2.585, 17
1 3 -1, 35.35, 2.539, 31
0 0 4, 41.96, 2.153, 20
4 0 0, 43.06, 2.101, 37
0 4 4, 61.69, 1.504, 23

---

No. 7
This entry pairs a crystal structure of Li2TiFe2O5 with its computed powder diffraction line list. Radiation: Cu Ka. Structure: a crystal structure in the Materials Project, relaxed with GGA+U.
Lines closer than 0.1° are merged.

Cell and atoms:
abc: 5.1879 5.1898 7.9554
angles: 71.18 83.68 70.63
Space group P1 (No. 1)
Asymmetric unit:
1 Li 0.0000 0.0000 0.0000 x1
2 Li 0.0006 0.1983 0.6068 x1
3 Li 0.4984 0.2930 0.4130 x1
4 Li 0.5007 0.6969 0.6061 x1
5 Ti 0.0007 0.7978 0.4139 x1
6 Ti 0.4979 0.0994 0.7942 x1
7 Fe 0.0031 0.5982 0.8017 x1
8 Fe 0.5020 0.4954 0.0125 x1
9 Fe 0.5015 0.8931 0.2139 x1
10 Fe 0.9971 0.3963 0.2098 x1
11 O 0.2278 0.0202 0.4127 x1
12 O 0.2390 0.6417 0.2209 x1
13 O 0.2576 0.4388 0.6082 x1
14 O 0.2633 0.2328 0.9959 x1
15 O 0.2668 0.8667 0.8058 x1
16 O 0.7290 0.3364 0.8124 x1
17 O 0.7421 0.7710 0.9926 x1
18 O 0.7462 0.9548 0.6084 x1
19 O 0.7708 0.1261 0.2280 x1
20 O 0.7720 0.5730 0.4111 x1

Main lines, in order of rising 2θ (2θ from 15° to 90°):
(hkl), two_theta, d [Å], I (rel.)
1 1 1, 21.81, 4.076, 27
2 0 0, 36.72, 2.448, 22
1 -1 2, 42.42, 2.131, 51
-1 1 3, 42.68, 2.119, 100
1 3 -1, 61.77, 1.502, 27
-2 2 1, 61.92, 1.499, 41

---

No. 8
This entry pairs a crystal structure of Li3TiFe2O6 with its computed powder diffraction line list. Radiation: Cu Ka. Structure: a crystal structure in the Materials Project, relaxed with GGA+U.
Lines closer than 0.1° are merged.

Cell and atoms:
abc: 13.0679 2.9862 6.0243
angles: 90.00 103.52 90.00
Space group C2/m (No. 12)
Asymmetric unit:
1 Li 0.0000 0.0000 0.0000 x2
2 Li 0.1679 0.5000 0.3311 x4
3 Ti 0.0000 0.0000 0.5000 x2
4 Fe 0.1713 0.5000 0.8430 x4
5 O 0.0000 0.5000 0.2772 x4
6 O 0.1550 0.0000 0.5863 x4
7 O 0.1664 0.0000 0.0741 x4

Main lines, in order of rising 2θ (2θ from 15° to 90°):
(hkl), two_theta, d [Å], I (rel.)
2 0 -1, 18.04, 4.917, 100
4 0 1, 35.18, 2.551, 42
1 1 -2, 42.66, 2.120, 83
5 1 -1, 46.74, 1.944, 10
7 1 -2, 61.84, 1.500, 15
5 1 2, 62.01, 1.497, 15

---

Please write out number 6 again, unchanged.
This entry pairs a crystal structure of Li2TiFe3O8 with its computed powder diffraction line list. Radiation: Cu Ka. Structure: a crystal structure in the Materials Project, relaxed with GGA+U.
Lines closer than 0.1° are merged.

Cell and atoms:
abc: 8.3979 8.4073 8.6124
angles: 90.06 90.01 90.15
Space group P1 (No. 1)
Asymmetric unit:
1 Li 0.0000 0.0000 0.0000 x1
2 Li 0.0012 0.4967 0.4992 x1
3 Li 0.2475 0.2490 0.7477 x1
4 Li 0.2517 0.7506 0.2486 x1
5 Li 0.4977 0.9969 0.5006 x1
6 Li 0.5024 0.4988 0.9999 x1
7 Li 0.7460 0.7508 0.7494 x1
8 Li 0.7492 0.2518 0.2488 x1
9 Ti 0.1240 0.6307 0.8681 x1
10 Ti 0.3744 0.1255 0.1228 x1
11 Ti 0.6274 0.3707 0.6201 x1
12 Ti 0.8774 0.8773 0.3826 x1
13 Fe 0.1230 0.3755 0.1272 x1
14 Fe 0.1266 0.1243 0.3728 x1
15 Fe 0.1281 0.8757 0.6229 x1
16 Fe 0.3738 0.3729 0.3723 x1
17 Fe 0.3762 0.8749 0.8754 x1
18 Fe 0.3784 0.6227 0.6270 x1
19 Fe 0.6241 0.1238 0.8759 x1
20 Fe 0.6245 0.8753 0.1227 x1
21 Fe 0.6273 0.6258 0.3776 x1
22 Fe 0.8733 0.6250 0.1255 x1
23 Fe 0.8743 0.3783 0.8721 x1
24 Fe 0.8778 0.1264 0.6259 x1
25 O 0.1017 0.6181 0.1105 x1
26 O 0.1055 0.3884 0.8862 x1
27 O 0.1079 0.8788 0.3845 x1
28 O 0.1148 0.1117 0.6098 x1
29 O 0.1302 0.8586 0.8636 x1
30 O 0.1365 0.3647 0.3618 x1
31 O 0.1357 0.6321 0.6415 x1
32 O 0.1386 0.1346 0.1346 x1
33 O 0.3554 0.6310 0.8696 x1
34 O 0.3647 0.8589 0.6382 x1
35 O 0.3656 0.3612 0.1340 x1
36 O 0.3679 0.1334 0.3558 x1
37 O 0.3833 0.8899 0.1136 x1
38 O 0.3842 0.1169 0.8909 x1
39 O 0.3907 0.3849 0.6137 x1
40 O 0.3973 0.6140 0.3839 x1
41 O 0.6107 0.1168 0.1144 x1
42 O 0.6150 0.6087 0.6176 x1
43 O 0.6160 0.8867 0.8878 x1
44 O 0.6192 0.3894 0.3907 x1
45 O 0.6348 0.1404 0.6340 x1
46 O 0.6378 0.8584 0.3636 x1
47 O 0.6420 0.3679 0.8570 x1
48 O 0.6472 0.6333 0.1351 x1
49 O 0.8566 0.6373 0.3700 x1
50 O 0.8607 0.3650 0.6312 x1
51 O 0.8650 0.1460 0.8646 x1
52 O 0.8676 0.8529 0.1402 x1
53 O 0.8809 0.3992 0.1146 x1
54 O 0.8817 0.1056 0.3808 x1
55 O 0.8833 0.8840 0.6081 x1
56 O 0.8869 0.6097 0.8801 x1

Main lines, in order of rising 2θ (2θ from 15° to 90°):
(hkl), two_theta, d [Å], I (rel.)
1 -1 1, 18.14, 4.891, 100
-1 1 3, 34.70, 2.585, 17
1 3 -1, 35.35, 2.539, 31
0 0 4, 41.96, 2.153, 20
4 0 0, 43.06, 2.101, 37
0 4 4, 61.69, 1.504, 23

---

Copy entry 8 word for word.
This entry pairs a crystal structure of Li3TiFe2O6 with its computed powder diffraction line list. Radiation: Cu Ka. Structure: a crystal structure in the Materials Project, relaxed with GGA+U.
Lines closer than 0.1° are merged.

Cell and atoms:
abc: 13.0679 2.9862 6.0243
angles: 90.00 103.52 90.00
Space group C2/m (No. 12)
Asymmetric unit:
1 Li 0.0000 0.0000 0.0000 x2
2 Li 0.1679 0.5000 0.3311 x4
3 Ti 0.0000 0.0000 0.5000 x2
4 Fe 0.1713 0.5000 0.8430 x4
5 O 0.0000 0.5000 0.2772 x4
6 O 0.1550 0.0000 0.5863 x4
7 O 0.1664 0.0000 0.0741 x4

Main lines, in order of rising 2θ (2θ from 15° to 90°):
(hkl), two_theta, d [Å], I (rel.)
2 0 -1, 18.04, 4.917, 100
4 0 1, 35.18, 2.551, 42
1 1 -2, 42.66, 2.120, 83
5 1 -1, 46.74, 1.944, 10
7 1 -2, 61.84, 1.500, 15
5 1 2, 62.01, 1.497, 15